For Ho2B4C, a GGA-PBE-relaxed structure gives the simulated XRD peak list in this record (a wavelength of 1.5418 Å).

Principal peaks in the range 2θ from 10° to 90°, by angle:
(hkl), 2θ (°), intensity
0 0 2, 23.78, 56.1
0 2 0, 27.19, 56.4
1 1 0, 30.54, 74.9
0 2 2, 36.43, 55.2
1 1 2, 39.07, 100.0
0 0 4, 48.66, 13.0
1 3 0, 50.19, 23.3
2 0 0, 56.26, 38.6
1 1 4, 58.55, 20.9
2 2 2, 68.90, 17.2
1 3 4, 72.50, 13.3
2 4 0, 83.49, 16.0

Cell and atoms:
Lattice parameters (Å, degrees): 3.2704 6.5594 7.4843 90.00 90.00 90.00
Space group Immm (No. 71)
One atom of each set of equivalent atoms:
Ho 0.0000 0.0000 0.2340
B 0.0000 0.2721 0.5000
B 0.0000 0.3654 0.0000
C 0.0000 0.5000 0.5000